Structure and theoretical powder XRD pattern of YMg6SiO8 (a crystal structure in the Materials Project, relaxed with GGA-PBE; Cu Kα).
Intensities are scaled so that the largest is 100.

Structure:
Unit cell a=4.4942 b=4.4942 c=8.9716 alpha=90.00 beta=90.00 gamma=90.00
Space group P4/mmm (No. 123)
Asymmetric unit:
Y: 0.0000 0.0000 0.0000
Mg: 0.0000 0.5000 0.2645
Mg: 0.5000 0.5000 0.0000
Mg: 0.5000 0.5000 0.5000
Si: 0.0000 0.0000 0.5000
O: 0.0000 0.0000 0.2508
O: 0.0000 0.5000 0.0000
O: 0.0000 0.5000 0.5000
O: 0.5000 0.5000 0.2573

Most intense lines, 10 to 90 degrees two-theta, sorted by position:
h k l  d_spacing  Rel. int.
0 0 2  4.491  19
1 0 1  4.018  16
1 1 0  3.176  16
0 0 3  2.994  13
1 1 2  2.593  24
2 0 0  2.246  100
2 2 0  1.588  58
2 2 4  1.297  18